[1]
# HoSc2Bi3
Calculated powder XRD pattern, Cu Kα, 1.54184 Å. Input: a crystal structure in Alexandria, relaxed with GGA-PBE.
Neutral-atom scattering factors, no anomalous dispersion.

Most intense lines, 2θ = 5–70°, low angle first:
| d (Å) | I (rel.) |
| --- | --- |
| 3.540 | 33 |
| 3.066 | 100 |
| 2.169 | 64 |
| 2.162 | 13 |
| 1.850 | 12 |
| 1.772 | 14 |
| 1.768 | 13 |
| 1.531 | 8 |
| 1.373 | 12 |
| 1.371 | 18 |

Cell and atoms:
```
HoSc2Bi3
1.0
6.1437 0.0000 0.0000
0.0000 13.0143 0.0000
-0.0002 0.0000 8.6477
Ho Sc Bi
4 8 12
Cartesian
1.5380 1.0279 1.0900
1.5379 5.4793 5.4138
4.6055 7.5350 3.2339
4.6055 11.9865 7.5577
1.5291 9.6850 5.4095
1.5292 9.8365 1.0856
1.5380 1.1103 5.4056
1.5381 5.3968 1.0817
4.6054 7.6175 7.5660
4.6055 11.9040 3.2421
4.6143 3.1778 7.5621
4.6143 3.3293 3.2382
1.5336 7.6385 3.1573
1.5335 7.6454 7.6590
1.5336 11.8761 3.3351
1.5335 11.8830 7.4811
1.5416 3.2464 7.5697
1.5417 3.2607 3.2459
4.6018 9.7536 5.4018
4.6018 9.7679 1.0780
4.6099 1.1313 1.1666
4.6099 1.1383 5.3126
4.6100 5.3689 0.9887
4.6099 5.3759 5.4904
```

---

[2]
# Ho8ScBi6
Calculated powder XRD pattern, Cu Kα, 1.54184 Å. Input: a crystal structure in Alexandria, relaxed with GGA-PBE.
Neutral-atom scattering factors, no anomalous dispersion.

Most intense lines, 2θ = 5–70°, low angle first:
| d (Å) | I (rel.) |
| --- | --- |
| 3.783 | 14 |
| 3.529 | 14 |
| 2.993 | 100 |
| 2.470 | 16 |
| 2.184 | 40 |
| 2.054 | 26 |
| 1.764 | 22 |
| 1.496 | 11 |
| 1.457 | 11 |
| 1.373 | 19 |

Cell and atoms:
```
Ho8ScBi6
1.0
3.7832 2.1843 9.7843
-3.7832 2.1843 9.7843
0.0000 -4.3685 9.7843
Ho Sc Bi
8 1 6
Cartesian
-2.5892 -0.0215 11.1237
0.0000 0.0000 4.9021
-1.2760 -2.2531 18.2293
1.3132 -2.2316 11.1237
-1.3132 2.2316 18.2293
1.2760 2.2531 11.1237
0.0000 0.0000 24.4509
2.5892 0.0215 18.2293
0.0000 0.0000 14.6765
-1.2150 -2.1294 12.8945
-2.4517 -0.0125 16.4586
-1.2366 2.1170 12.8945
1.2366 -2.1170 16.4585
2.4517 0.0125 12.8944
1.2151 2.1294 16.4585
```

---

[3]
# Ho4ScBi3
Calculated powder XRD pattern, Cu Kα, 1.54184 Å. Input: a crystal structure in Alexandria, relaxed with GGA-PBE.
Neutral-atom scattering factors, no anomalous dispersion.

Most intense lines, 2θ = 5–70°, low angle first:
| d (Å) | I (rel.) |
| --- | --- |
| 4.092 | 22 |
| 3.828 | 29 |
| 3.007 | 23 |
| 2.919 | 90 |
| 2.839 | 30 |
| 2.821 | 46 |
| 2.656 | 100 |
| 2.281 | 22 |
| 2.225 | 37 |
| 1.354 | 26 |

Cell and atoms:
```
Ho4ScBi3
1.0
5.8151 -2.2253 0.0000
5.8151 2.2253 0.0000
-4.4997 0.0000 9.0222
Ho Sc Bi
4 1 3
Cartesian
-0.3286 0.0000 3.5631
3.4115 0.0000 1.3342
3.7188 0.0000 7.6880
7.4589 0.0000 5.4590
0.0000 0.0000 0.0000
0.2320 0.0000 7.2445
3.5652 0.0000 4.5111
6.8984 0.0000 1.7777
```

---

[4]
# Tb3Ho2ScBi6
Calculated powder XRD pattern, Cu Kα, 1.54184 Å. Input: a crystal structure in Alexandria, relaxed with GGA-PBE.
Neutral-atom scattering factors, no anomalous dispersion.

Most intense lines, 2θ = 5–70°, low angle first:
| d (Å) | I (rel.) |
| --- | --- |
| 9.431 | 1 |
| 3.631 | 6 |
| 3.144 | 100 |
| 2.884 | 1 |
| 2.223 | 78 |
| 1.896 | 4 |
| 1.815 | 28 |
| 1.572 | 13 |
| 1.443 | 2 |
| 1.406 | 36 |

Cell and atoms:
```
Tb3Ho2ScBi6
1.0
9.6868 -2.2239 0.0000
9.6868 2.2239 0.0000
-2.0289 0.0000 8.6590
Tb Ho Sc Bi
3 2 1 6
Cartesian
0.0000 0.0000 0.0000
5.0731 0.0000 5.7670
12.2716 0.0000 2.8920
6.1354 0.0000 1.4524
11.2092 0.0000 7.2066
-1.0145 0.0000 4.3295
1.9628 0.0000 5.0406
3.0750 0.0000 0.7087
8.1758 0.0000 6.4017
9.1689 0.0000 2.2574
14.2697 0.0000 7.9504
15.3818 0.0000 3.6184
```

---

[5]
# Ho3Bi2Se
Calculated powder XRD pattern, Cu Kα, 1.54184 Å. Input: a crystal structure in Alexandria, relaxed with GGA-PBE.
Neutral-atom scattering factors, no anomalous dispersion.

Most intense lines, 2θ = 5–70°, low angle first:
| d (Å) | I (rel.) |
| --- | --- |
| 3.074 | 100 |
| 3.054 | 47 |
| 2.802 | 10 |
| 2.174 | 39 |
| 2.167 | 73 |
| 1.771 | 39 |
| 1.537 | 13 |
| 1.375 | 18 |
| 1.373 | 17 |
| 1.368 | 15 |

Cell and atoms:
```
Ho3Bi2Se
1.0
-2.1738 2.1738 9.1615
2.1738 -2.1738 9.1615
2.1738 2.1738 -9.1615
Ho Bi Se
3 2 1
Cartesian
0.0000 0.0000 0.0000
0.0000 0.0000 6.2868
0.0000 0.0000 12.0363
0.0000 0.0000 3.0935
0.0000 0.0000 15.2296
0.0000 0.0000 9.1615
```

---

[6]
# SmHo3Bi3
Calculated powder XRD pattern, Cu Kα, 1.54184 Å. Input: a crystal structure in Alexandria, relaxed with GGA-PBE.
Neutral-atom scattering factors, no anomalous dispersion.

Most intense lines, 2θ = 5–70°, low angle first:
| d (Å) | I (rel.) |
| --- | --- |
| 4.579 | 53 |
| 3.698 | 27 |
| 3.137 | 67 |
| 2.960 | 49 |
| 2.856 | 86 |
| 2.643 | 88 |
| 2.588 | 100 |
| 2.528 | 56 |
| 2.021 | 32 |
| 1.850 | 42 |

Cell and atoms:
```
SmHo3Bi3
1.0
4.5786 2.6434 6.2731
-4.5786 2.6434 6.2731
0.0000 -5.2869 6.2731
Sm Ho Bi
2 6 6
Cartesian
0.0000 0.0000 3.1277
0.0000 0.0000 15.6917
-2.3627 0.0049 7.8768
-1.1856 -2.0437 10.9426
1.1771 -2.0486 7.8768
-1.1771 2.0486 10.9426
1.1856 2.0437 7.8768
2.3627 -0.0049 10.9426
-1.7836 -3.0621 7.8022
-3.5437 0.0135 11.0172
-1.7601 3.0757 7.8022
1.7601 -3.0757 11.0172
3.5437 -0.0135 7.8022
1.7836 3.0621 11.0172
```

---

[7]
# Sm3HoBi4
Calculated powder XRD pattern, Cu Kα, 1.54184 Å. Input: a crystal structure in Alexandria, relaxed with GGA-PBE.
Neutral-atom scattering factors, no anomalous dispersion.

Most intense lines, 2θ = 5–70°, low angle first:
| d (Å) | I (rel.) |
| --- | --- |
| 3.700 | 4 |
| 3.205 | 100 |
| 2.266 | 78 |
| 1.933 | 2 |
| 1.850 | 29 |
| 1.602 | 14 |
| 1.470 | 1 |
| 1.433 | 38 |

Cell and atoms:
```
Sm3HoBi4
1.0
6.4094 0.0000 0.0000
0.0000 6.4094 0.0000
0.0000 0.0000 6.4094
Sm Ho Bi
3 1 4
Cartesian
0.0000 0.0000 3.2047
0.0000 3.2047 0.0000
3.2047 0.0000 0.0000
3.2047 3.2047 3.2047
0.0000 0.0000 0.0000
0.0000 3.2047 3.2047
3.2047 0.0000 3.2047
3.2047 3.2047 0.0000
```

---

[8]
# SmHoTh2Bi4
Calculated powder XRD pattern, Cu Kα, 1.54184 Å. Input: a crystal structure in Alexandria, relaxed with GGA-PBE.
Neutral-atom scattering factors, no anomalous dispersion.

Most intense lines, 2θ = 5–70°, low angle first:
| d (Å) | I (rel.) |
| --- | --- |
| 3.891 | 1 |
| 3.220 | 100 |
| 2.282 | 40 |
| 2.271 | 39 |
| 1.862 | 22 |
| 1.850 | 7 |
| 1.610 | 14 |
| 1.442 | 19 |
| 1.438 | 12 |
| 1.436 | 6 |

Cell and atoms:
```
SmHoTh2Bi4
1.0
7.8606 0.0000 0.0000
0.0000 4.5648 0.0000
-2.6606 0.0000 7.4410
Sm Ho Th Bi
1 1 2 4
Cartesian
0.0000 0.0000 0.0000
-1.3303 2.2824 3.7205
2.6000 0.0000 3.7205
3.9303 2.2824 0.0000
-0.0809 0.0000 5.5385
1.2505 2.2824 1.8662
3.9495 2.2824 5.5748
5.2809 0.0000 1.9025
```

---

[9]
# HoSn2Bi
Calculated powder XRD pattern, Cu Kα, 1.54184 Å. Input: a crystal structure in Alexandria, relaxed with GGA-PBE.
Neutral-atom scattering factors, no anomalous dispersion.

Most intense lines, 2θ = 5–70°, low angle first:
| d (Å) | I (rel.) |
| --- | --- |
| 4.926 | 4 |
| 3.350 | 3 |
| 2.770 | 100 |
| 2.463 | 18 |
| 2.369 | 33 |
| 1.707 | 24 |
| 1.675 | 12 |
| 1.474 | 15 |
| 1.433 | 28 |
| 1.385 | 12 |

Cell and atoms:
```
HoSn2Bi
1.0
4.7374 0.0000 0.0000
0.0000 4.7374 0.0000
0.0000 0.0000 4.9259
Ho Sn Bi
1 2 1
Cartesian
0.0000 0.0000 0.0000
0.0000 2.3687 2.4630
2.3687 0.0000 2.4630
2.3687 2.3687 0.0000
```

---

[10]
# Tb4HoBi2
Calculated powder XRD pattern, Cu Kα, 1.54184 Å. Input: a crystal structure in Alexandria, relaxed with GGA-PBE.
Neutral-atom scattering factors, no anomalous dispersion.

Most intense lines, 2θ = 5–70°, low angle first:
| d (Å) | I (rel.) |
| --- | --- |
| 8.400 | 26 |
| 3.769 | 55 |
| 3.439 | 45 |
| 2.842 | 61 |
| 2.803 | 89 |
| 2.665 | 100 |
| 1.944 | 42 |
| 1.930 | 44 |
| 1.885 | 37 |
| 1.564 | 43 |

Cell and atoms:
```
Tb4HoBi2
1.0
-2.6651 2.6651 8.3996
2.6651 -2.6651 8.3996
2.6651 2.6651 -8.3996
Tb Ho Bi
4 1 2
Cartesian
2.6651 0.0000 0.0000
0.0000 0.0000 3.0420
0.0000 2.6651 0.0000
0.0000 0.0000 13.7572
0.0000 0.0000 0.0000
0.0000 0.0000 6.1340
0.0000 0.0000 10.6652
```

---

[11]
# TbHoBi2
Calculated powder XRD pattern, Cu Kα, 1.54184 Å. Input: a crystal structure in Alexandria, relaxed with GGA-PBE.
Neutral-atom scattering factors, no anomalous dispersion.

Most intense lines, 2θ = 5–70°, low angle first:
| d (Å) | I (rel.) |
| --- | --- |
| 3.653 | 3 |
| 3.163 | 100 |
| 2.238 | 65 |
| 2.233 | 13 |
| 1.908 | 2 |
| 1.827 | 21 |
| 1.825 | 7 |
| 1.582 | 13 |
| 1.415 | 31 |
| 1.413 | 6 |

Cell and atoms:
```
TbHoBi2
1.0
3.8734 -2.2396 0.0000
3.8734 2.2396 0.0000
-2.5946 0.0000 7.2984
Tb Ho Bi
1 1 2
Cartesian
0.0000 0.0000 0.0000
2.5761 0.0000 3.6492
-0.0094 0.0000 5.4576
5.1617 0.0000 1.8408
```

---

[12]
# Tb3Ho4Bi8
Calculated powder XRD pattern, Cu Kα, 1.54184 Å. Input: a crystal structure in Alexandria, relaxed with GGA-PBE.
Neutral-atom scattering factors, no anomalous dispersion.

Most intense lines, 2θ = 5–70°, low angle first:
| d (Å) | I (rel.) |
| --- | --- |
| 7.273 | 2 |
| 3.798 | 3 |
| 3.636 | 7 |
| 3.149 | 100 |
| 2.227 | 78 |
| 1.899 | 4 |
| 1.818 | 28 |
| 1.574 | 13 |
| 1.408 | 31 |
| 1.407 | 6 |

Cell and atoms:
```
Tb3Ho4Bi8
1.0
6.2955 -6.2981 0.0000
6.2955 6.2981 0.0000
-6.2830 0.0000 6.2991
Tb Ho Bi
3 4 8
Cartesian
0.0000 0.0000 0.0000
3.1478 3.1491 0.0000
3.1478 -3.1491 0.0000
0.0063 3.1491 3.1496
0.0063 -3.1491 3.1496
6.2955 0.0000 0.0000
3.1540 0.0000 3.1496
-0.0497 0.0000 3.1609
3.1540 3.2021 3.1496
-3.1241 0.0000 6.2470
6.2955 3.1401 0.0000
6.2955 -3.1401 0.0000
9.4321 0.0000 0.0521
3.1540 -3.2021 3.1496
6.3577 0.0000 3.1382
```